(1)
Calculated XRD peak list
Compound: Pm4HgRu2
Radiation: a wavelength of 1.5418 Å
Structure: a GGA-PBE-relaxed structure
Neutral-atom scattering factors, no anomalous dispersion.

Crystal structure
```
data_Pm4HgRu2
_chemical_formula_sum 'Pm8 Hg2 Ru4'
_symmetry_space_group_name_H-M 'P 1'
_symmetry_Int_Tables_number 1
_cell_length_a 7.157
_cell_length_b 7.359
_cell_length_c 8.104
_cell_angle_alpha 102.03
_cell_angle_beta 107.68
_cell_angle_gamma 106.66
loop_
_symmetry_equiv_pos_as_xyz
'x,y,z'
loop_
_atom_site_label
_atom_site_fract_x
_atom_site_fract_y
_atom_site_fract_z
_atom_site_occupancy
Pm1 0.000 0.000 0.000 1
Pm2 0.001 0.385 0.325 1
Pm3 0.286 0.931 0.465 1
Pm4 0.398 0.305 0.890 1
Pm5 0.466 0.853 0.011 1
Pm6 0.572 0.625 0.597 1
Pm7 0.847 0.080 0.558 1
Pm8 0.965 0.495 0.930 1
Hg1 0.497 0.250 0.289 1
Hg2 0.780 0.691 0.246 1
Ru1 0.070 0.825 0.704 1
Ru2 0.180 0.509 0.691 1
Ru3 0.342 0.576 0.229 1
Ru4 0.652 0.077 0.813 1
```

Principal peaks in the range 15° ≤ 2θ ≤ 90°, in order of falling intensity:
two_theta	I (rel.)	hkl
33.4	100.0	2 1 -2
32.3	99.0	2 1 -1
31.8	98.3	2 -1 1
36.9	93.7	2 0 -3
29.3	81.0	-1 2 1
29.9	70.3	0 2 -2

=====

(2)
Calculated XRD peak list
Compound: Pm6Hg3Ru
Radiation: a wavelength of 1.5418 Å
Structure: a GGA-PBE-relaxed structure
Neutral-atom scattering factors, no anomalous dispersion.

Crystal structure
```
data_Pm6Hg3Ru
_chemical_formula_sum 'Pm36 Hg18 Ru6'
_symmetry_space_group_name_H-M 'R -3 c'
_symmetry_Int_Tables_number 167
_symmetry_space_group_name_Hall '-R 3 2"c'
_cell_length_a 12.3697
_cell_length_b 12.3697
_cell_length_c 13.8878
_cell_angle_alpha 90.00
_cell_angle_beta 90.00
_cell_angle_gamma 120.00
loop_
_atom_site_label
_atom_site_fract_x
_atom_site_fract_y
_atom_site_fract_z
_atom_site_occupancy
Pm1 0.0404 0.1952 0.3826 1
Hg1 0.0000 0.3998 0.2500 1
Ru1 0.0000 0.0000 0.0000 1
```

Principal peaks in the range 15° ≤ 2θ ≤ 90°, in order of falling intensity:
two_theta	I (rel.)	hkl
30.8	100.0	1 3 1
34.9	54.9	2 2 3
32.8	45.3	3 1 2
27.0	27.8	1 0 4
15.2	20.3	0 1 2
39.3	19.3	1 2 5

=====

(3)
Calculated XRD peak list
Compound: PmHgS
Radiation: a wavelength of 1.5418 Å
Structure: a GGA-PBE-relaxed structure
Neutral-atom scattering factors, no anomalous dispersion.

Crystal structure
```
data_PmHgS
_chemical_formula_sum 'Pm2 Hg2 S2'
_symmetry_space_group_name_H-M 'P -3 m 1'
_symmetry_Int_Tables_number 164
_symmetry_space_group_name_Hall '-P 3 2"'
_cell_length_a 4.2504
_cell_length_b 4.2504
_cell_length_c 11.9678
_cell_angle_alpha 90.00
_cell_angle_beta 90.00
_cell_angle_gamma 120.00
loop_
_atom_site_label
_atom_site_fract_x
_atom_site_fract_y
_atom_site_fract_z
_atom_site_occupancy
Pm1 0.0000 0.0000 0.2463 1
Hg1 0.3333 0.6667 0.4312 1
S1 0.3333 0.6667 0.8481 1
```

Principal peaks in the range 15° ≤ 2θ ≤ 90°, in order of falling intensity:
two_theta	I (rel.)	hkl
28.5	100.0	0 1 2
42.5	36.1	1 1 0
38.8	35.2	1 0 4
33.1	26.3	0 1 3
52.0	19.0	2 0 2
25.3	18.2	0 1 1